# 1
In4SbPd15: calculated powder XRD pattern (a wavelength of 1.5418 Å), based on DFT lattice parameters and positions (GGA-PBE).
Lines closer than 0.1° are merged.

Largest 8 diffraction maxima, in order of falling intensity, 2θ = 10–90°:
d = 2.336 Å, 38.54°, intensity 100.0
d = 2.021 Å, 44.85°, intensity 32.3
d = 1.219 Å, 78.46°, intensity 24.0
d = 1.432 Å, 65.17°, intensity 20.5
d = 2.028 Å, 44.68°, intensity 16.3
d = 1.222 Å, 78.21°, intensity 12.0
d = 1.168 Å, 82.59°, intensity 10.5
d = 1.429 Å, 65.30°, intensity 10.2

Atomic structure:
Lattice parameters (Å, degrees): 4.041 4.041 20.283 90.00 90.00 90.00
Fractional positions:
In1 0.000 0.000 0.100
In2 0.000 0.000 0.298
In3 0.000 0.000 0.702
In4 0.000 0.000 0.900
Sb1 0.000 0.000 0.500
Pd1 0.000 0.500 0.000
Pd2 0.000 0.500 0.200
Pd3 0.000 0.500 0.401
Pd4 0.000 0.500 0.599
Pd5 0.000 0.500 0.800
Pd6 0.500 0.000 0.000
Pd7 0.500 0.000 0.200
Pd8 0.500 0.000 0.401
Pd9 0.500 0.000 0.599
Pd10 0.500 0.000 0.800
Pd11 0.500 0.500 0.100
Pd12 0.500 0.500 0.301
Pd13 0.500 0.500 0.500
Pd14 0.500 0.500 0.699
Pd15 0.500 0.500 0.900

# 2
In3SbPd: calculated powder XRD pattern (a wavelength of 1.5418 Å), based on DFT lattice parameters and positions (GGA-PBE).
Lines closer than 0.1° are merged.

Largest 8 diffraction maxima, in order of falling intensity, 2θ = 10–90°:
d = 2.601 Å, 34.48°, intensity 100.0
d = 3.004 Å, 29.74°, intensity 77.5
d = 1.839 Å, 49.56°, intensity 70.0
d = 1.569 Å, 58.87°, intensity 32.1
d = 1.163 Å, 83.01°, intensity 30.6
d = 1.502 Å, 61.77°, intensity 23.6
d = 3.679 Å, 24.19°, intensity 19.0
d = 5.202 Å, 17.04°, intensity 18.8

Atomic structure:
Lattice parameters (Å, degrees): 5.202 5.202 5.202 90.00 90.00 90.00
Fractional positions:
In1 0.000 0.000 0.500
In2 0.000 0.500 0.000
In3 0.500 0.000 0.000
Sb1 0.500 0.500 0.500
Pd1 0.000 0.000 0.000

# 3
Sc2In3Pd4: calculated powder XRD pattern (a wavelength of 1.5418 Å), based on DFT lattice parameters and positions (GGA-PBE).
Lines closer than 0.1° are merged.

Largest 8 diffraction maxima, in order of falling intensity, 2θ = 10–90°:
d = 2.340 Å, 38.47°, intensity 100.0
d = 2.375 Å, 37.89°, intensity 96.7
d = 1.669 Å, 55.01°, intensity 21.1
d = 1.359 Å, 69.14°, intensity 20.7
d = 3.682 Å, 24.17°, intensity 14.0
d = 1.352 Å, 69.53°, intensity 11.0
d = 1.662 Å, 55.27°, intensity 10.4
d = 1.356 Å, 69.31°, intensity 10.3

Atomic structure:
Lattice parameters (Å, degrees): 4.677 4.677 8.791 90.20 90.20 60.14
Fractional positions:
Sc1 0.167 0.167 0.287
Sc2 0.833 0.833 0.713
In1 0.167 0.167 0.918
In2 0.500 0.500 0.500
In3 0.833 0.833 0.082
Pd1 0.167 0.167 0.602
Pd2 0.499 0.499 0.166
Pd3 0.501 0.501 0.834
Pd4 0.833 0.833 0.398

# 4
Sc5ZnIn2Pd2: calculated powder XRD pattern (a wavelength of 1.5418 Å), based on DFT lattice parameters and positions (GGA-PBE).
Lines closer than 0.1° are merged.

Largest 8 diffraction maxima, in order of falling intensity, 2θ = 10–90°:
d = 2.438 Å, 36.87°, intensity 100.0
d = 2.724 Å, 32.88°, intensity 35.7
d = 2.282 Å, 39.49°, intensity 31.0
d = 2.647 Å, 33.86°, intensity 30.0
d = 3.552 Å, 25.07°, intensity 29.9
d = 1.676 Å, 54.78°, intensity 17.6
d = 3.352 Å, 26.59°, intensity 16.2
d = 2.153 Å, 41.97°, intensity 15.8

Atomic structure:
Lattice parameters (Å, degrees): 11.232 11.232 3.352 90.00 90.00 90.00
Fractional positions:
Sc1 0.000 0.500 0.000
Sc2 0.066 0.194 0.000
Sc3 0.194 0.934 0.000
Sc4 0.306 0.434 0.000
Sc5 0.434 0.694 0.000
Sc6 0.500 0.000 0.000
Sc7 0.566 0.306 0.000
Sc8 0.694 0.566 0.000
Sc9 0.806 0.066 0.000
Sc10 0.934 0.806 0.000
Zn1 0.000 0.000 0.500
Zn2 0.500 0.500 0.500
In1 0.174 0.674 0.500
In2 0.326 0.174 0.500
In3 0.674 0.826 0.500
In4 0.826 0.326 0.500
Pd1 0.132 0.368 0.500
Pd2 0.368 0.868 0.500
Pd3 0.632 0.132 0.500
Pd4 0.868 0.632 0.500

# 5
InPd8Se2: calculated powder XRD pattern (a wavelength of 1.5418 Å), based on DFT lattice parameters and positions (GGA-PBE).
Lines closer than 0.1° are merged.

Largest 8 diffraction maxima, in order of falling intensity, 2θ = 10–90°:
d = 2.278 Å, 39.55°, intensity 100.0
d = 2.388 Å, 37.66°, intensity 40.0
d = 2.261 Å, 39.87°, intensity 36.3
d = 2.071 Å, 43.70°, intensity 34.8
d = 2.358 Å, 38.17°, intensity 34.3
d = 2.685 Å, 33.37°, intensity 26.1
d = 2.328 Å, 38.67°, intensity 23.6
d = 2.139 Å, 42.24°, intensity 23.0

Atomic structure:
Lattice parameters (Å, degrees): 4.826 5.975 7.339 111.14 105.64 98.20
Fractional positions:
In1 0.000 0.000 0.000
Pd1 0.170 0.441 0.345
Pd2 0.171 0.944 0.393
Pd3 0.177 0.587 0.999
Pd4 0.380 0.851 0.768
Pd5 0.612 0.084 0.233
Pd6 0.651 0.358 0.002
Pd7 0.780 0.553 0.607
Pd8 0.825 0.099 0.656
Se1 0.317 0.380 0.680
Se2 0.634 0.703 0.321

# 6
In2Pd8Se: calculated powder XRD pattern (a wavelength of 1.5418 Å), based on DFT lattice parameters and positions (GGA-PBE).
Lines closer than 0.1° are merged.

Largest 8 diffraction maxima, in order of falling intensity, 2θ = 10–90°:
d = 2.273 Å, 39.65°, intensity 100.0
d = 2.034 Å, 44.55°, intensity 40.2
d = 1.215 Å, 78.74°, intensity 25.8
d = 2.555 Å, 35.12°, intensity 13.3
d = 1.371 Å, 68.45°, intensity 13.2
d = 1.438 Å, 64.84°, intensity 12.8
d = 1.253 Å, 75.97°, intensity 12.4
d = 1.136 Å, 85.43°, intensity 11.0

Atomic structure:
Lattice parameters (Å, degrees): 4.067 4.067 11.131 90.00 90.00 90.00
Fractional positions:
In1 0.000 0.000 0.178
In2 0.000 0.000 0.822
Pd1 0.000 0.500 0.000
Pd2 0.000 0.500 0.361
Pd3 0.000 0.500 0.639
Pd4 0.500 0.000 0.000
Pd5 0.500 0.000 0.361
Pd6 0.500 0.000 0.639
Pd7 0.500 0.500 0.180
Pd8 0.500 0.500 0.820
Se1 0.500 0.500 0.500

# 7
InPd4Se8: calculated powder XRD pattern (a wavelength of 1.5418 Å), based on DFT lattice parameters and positions (GGA-PBE).
Lines closer than 0.1° are merged.

Largest 8 diffraction maxima, in order of falling intensity, 2θ = 10–90°:
d = 1.918 Å, 47.41°, intensity 100.0
d = 2.712 Å, 33.03°, intensity 95.8
d = 6.263 Å, 14.14°, intensity 64.8
d = 3.271 Å, 27.27°, intensity 60.1
d = 2.088 Å, 43.34°, intensity 56.0
d = 1.107 Å, 88.26°, intensity 25.0
d = 1.213 Å, 78.93°, intensity 20.0
d = 1.566 Å, 58.99°, intensity 19.3

Atomic structure:
Lattice parameters (Å, degrees): 7.671 7.671 7.671 60.00 60.00 60.00
Fractional positions:
In1 0.000 0.000 0.000
Pd1 0.381 0.381 0.381
Pd2 0.381 0.381 0.858
Pd3 0.381 0.858 0.381
Pd4 0.858 0.381 0.381
Se1 0.142 0.142 0.142
Se2 0.142 0.142 0.575
Se3 0.142 0.575 0.142
Se4 0.161 0.613 0.613
Se5 0.575 0.142 0.142
Se6 0.613 0.161 0.613
Se7 0.613 0.613 0.161
Se8 0.613 0.613 0.613

# 8
Y2InSi2Pd5: calculated powder XRD pattern (a wavelength of 1.5418 Å), based on DFT lattice parameters and positions (GGA-PBE).
Lines closer than 0.1° are merged.

Largest 8 diffraction maxima, in order of falling intensity, 2θ = 10–90°:
d = 2.381 Å, 37.78°, intensity 100.0
d = 2.444 Å, 36.78°, intensity 53.9
d = 2.527 Å, 35.53°, intensity 41.4
d = 2.805 Å, 31.91°, intensity 35.6
d = 2.204 Å, 40.95°, intensity 31.6
d = 2.253 Å, 40.02°, intensity 28.2
d = 1.792 Å, 50.96°, intensity 22.4
d = 1.445 Å, 64.48°, intensity 20.1

Atomic structure:
Lattice parameters (Å, degrees): 10.075 10.075 3.584 90.00 90.00 90.00
Fractional positions:
Y1 0.177 0.323 0.000
Y2 0.323 0.823 0.000
Y3 0.677 0.177 0.000
Y4 0.823 0.677 0.000
In1 0.000 0.000 0.000
In2 0.500 0.500 0.000
Si1 0.122 0.622 0.000
Si2 0.378 0.122 0.000
Si3 0.622 0.878 0.000
Si4 0.878 0.378 0.000
Pd1 0.000 0.500 0.500
Pd2 0.061 0.783 0.500
Pd3 0.217 0.061 0.500
Pd4 0.283 0.561 0.500
Pd5 0.439 0.283 0.500
Pd6 0.500 0.000 0.500
Pd7 0.561 0.717 0.500
Pd8 0.717 0.439 0.500
Pd9 0.783 0.939 0.500
Pd10 0.939 0.217 0.500

# 9
Sm3In2Pd6: calculated powder XRD pattern (a wavelength of 1.5418 Å), based on DFT lattice parameters and positions (GGA-PBE).
Lines closer than 0.1° are merged.

Largest 8 diffraction maxima, in order of falling intensity, 2θ = 10–90°:
d = 2.299 Å, 39.18°, intensity 100.0
d = 2.816 Å, 31.78°, intensity 30.3
d = 1.327 Å, 71.01°, intensity 26.7
d = 2.607 Å, 34.40°, intensity 24.7
d = 1.471 Å, 63.23°, intensity 16.8
d = 2.181 Å, 41.39°, intensity 15.4
d = 6.898 Å, 12.83°, intensity 14.9
d = 3.085 Å, 28.94°, intensity 14.7

Atomic structure:
Lattice parameters (Å, degrees): 8.448 8.448 8.448 109.47 109.47 109.47
Fractional positions:
Sm1 0.000 0.291 0.291
Sm2 0.000 0.709 0.709
Sm3 0.291 0.000 0.291
Sm4 0.291 0.291 0.000
Sm5 0.709 0.000 0.709
Sm6 0.709 0.709 0.000
In1 0.000 0.000 0.500
In2 0.000 0.500 0.000
In3 0.500 0.000 0.000
In4 0.500 0.500 0.500
Pd1 0.000 0.344 0.656
Pd2 0.000 0.656 0.344
Pd3 0.312 0.656 0.656
Pd4 0.344 0.000 0.656
Pd5 0.344 0.344 0.688
Pd6 0.344 0.656 0.000
Pd7 0.344 0.688 0.344
Pd8 0.656 0.000 0.344
Pd9 0.656 0.312 0.656
Pd10 0.656 0.344 0.000
Pd11 0.656 0.656 0.312
Pd12 0.688 0.344 0.344

# 10
Sm4In5Pd2: calculated powder XRD pattern (a wavelength of 1.5418 Å), based on DFT lattice parameters and positions (GGA-PBE).
Lines closer than 0.1° are merged.

Largest 8 diffraction maxima, in order of falling intensity, 2θ = 10–90°:
d = 2.726 Å, 32.86°, intensity 100.0
d = 2.411 Å, 37.30°, intensity 97.6
d = 2.814 Å, 31.80°, intensity 90.7
d = 2.688 Å, 33.34°, intensity 79.8
d = 2.556 Å, 35.11°, intensity 73.2
d = 2.455 Å, 36.60°, intensity 50.6
d = 1.861 Å, 48.95°, intensity 45.0
d = 2.590 Å, 34.63°, intensity 42.6

Atomic structure:
Lattice parameters (Å, degrees): 7.795 3.722 9.830 90.00 94.54 90.00
Fractional positions:
Sm1 0.176 0.000 0.360
Sm2 0.231 0.000 0.940
Sm3 0.769 0.000 0.060
Sm4 0.824 0.000 0.640
In1 0.178 0.500 0.653
In2 0.452 0.500 0.182
In3 0.500 0.500 0.500
In4 0.548 0.500 0.818
In5 0.822 0.500 0.347
Pd1 0.071 0.500 0.138
Pd2 0.929 0.500 0.862

# 11
SmIn4Pd2: calculated powder XRD pattern (a wavelength of 1.5418 Å), based on DFT lattice parameters and positions (GGA-PBE).
Lines closer than 0.1° are merged.

Largest 8 diffraction maxima, in order of falling intensity, 2θ = 10–90°:
d = 2.694 Å, 33.26°, intensity 100.0
d = 2.206 Å, 40.90°, intensity 26.6
d = 2.277 Å, 39.58°, intensity 26.5
d = 2.987 Å, 29.91°, intensity 23.7
d = 2.029 Å, 44.66°, intensity 18.7
d = 2.299 Å, 39.18°, intensity 15.1
d = 1.494 Å, 62.15°, intensity 15.0
d = 1.515 Å, 61.19°, intensity 14.5

Atomic structure:
Lattice parameters (Å, degrees): 4.553 17.656 4.058 90.00 90.00 90.00
Fractional positions:
Sm1 0.000 0.000 0.000
Sm2 0.500 0.500 0.000
In1 0.000 0.164 0.500
In2 0.000 0.315 0.000
In3 0.000 0.685 0.000
In4 0.000 0.836 0.500
In5 0.500 0.185 0.000
In6 0.500 0.336 0.500
In7 0.500 0.664 0.500
In8 0.500 0.815 0.000
Pd1 0.000 0.425 0.500
Pd2 0.000 0.575 0.500
Pd3 0.500 0.075 0.500
Pd4 0.500 0.925 0.500

# 12
InSnPd5: calculated powder XRD pattern (a wavelength of 1.5418 Å), based on DFT lattice parameters and positions (GGA-PBE).
Lines closer than 0.1° are merged.

Largest 8 diffraction maxima, in order of falling intensity, 2θ = 10–90°:
d = 2.291 Å, 39.33°, intensity 100.0
d = 2.062 Å, 43.91°, intensity 35.7
d = 1.230 Å, 77.63°, intensity 24.1
d = 1.378 Å, 68.05°, intensity 18.5
d = 1.852 Å, 49.21°, intensity 13.1
d = 1.137 Å, 85.40°, intensity 10.1
d = 1.145 Å, 84.60°, intensity 9.9
d = 3.603 Å, 24.71°, intensity 9.3

Atomic structure:
Lattice parameters (Å, degrees): 4.715 4.715 11.654 90.00 90.00 76.47
Fractional positions:
In1 0.026 0.974 0.750
In2 0.974 0.026 0.250
Sn1 0.500 0.500 0.000
Sn2 0.500 0.500 0.500
Pd1 0.010 0.473 0.621
Pd2 0.010 0.473 0.879
Pd3 0.473 0.010 0.121
Pd4 0.473 0.010 0.379
Pd5 0.491 0.509 0.250
Pd6 0.509 0.491 0.750
Pd7 0.527 0.990 0.621
Pd8 0.527 0.990 0.879
Pd9 0.990 0.527 0.121
Pd10 0.990 0.527 0.379

# 13
In2SnPd9: calculated powder XRD pattern (a wavelength of 1.5418 Å), based on DFT lattice parameters and positions (GGA-PBE).
Lines closer than 0.1° are merged.

Largest 7 diffraction maxima, in order of falling intensity, 2θ = 10–90°:
d = 2.331 Å, 38.62°, intensity 100.0
d = 2.021 Å, 44.86°, intensity 32.5
d = 1.428 Å, 65.37°, intensity 31.0
d = 1.218 Å, 78.52°, intensity 24.4
d = 2.016 Å, 44.97°, intensity 16.1
d = 1.216 Å, 78.68°, intensity 12.1
d = 1.166 Å, 82.81°, intensity 10.7

Atomic structure:
Lattice parameters (Å, degrees): 4.041 4.041 12.094 90.00 90.00 90.00
Fractional positions:
In1 0.000 0.000 0.166
In2 0.000 0.000 0.834
Sn1 0.000 0.000 0.500
Pd1 0.000 0.500 0.000
Pd2 0.000 0.500 0.335
Pd3 0.000 0.500 0.665
Pd4 0.500 0.000 0.000
Pd5 0.500 0.000 0.335
Pd6 0.500 0.000 0.665
Pd7 0.500 0.500 0.168
Pd8 0.500 0.500 0.500
Pd9 0.500 0.500 0.832